1.
Starting from a cell relaxed with PBE, the powder diffractogram of PrPu2NpP4 was simulated for Cu Kα, 1.54184 Å.
No peak broadening, texture or thermal motion is included.

Peak list (10 most intense, 2θ = 10–90°, low angle first)
2θ (°), I (rel.)
27.06, 100
31.34, 95
44.92, 71
53.23, 50
55.79, 25
65.40, 12
72.14, 21
74.32, 33
82.86, 25
89.15, 17

Atomic structure:
```
PrPu2NpP4
1.0
5.7067 0.0000 0.0000
0.0000 5.7067 0.0000
0.0000 0.0000 11.4193
Pr Pu Np P
2 4 2 8
Direct
0.0000 0.0000 0.0000 Pr
0.5000 0.5000 0.5000 Pr
0.0000 0.0000 0.5000 Pu
0.0000 0.5000 0.2500 Pu
0.5000 0.0000 0.7500 Pu
0.5000 0.5000 0.0000 Pu
0.0000 0.5000 0.7500 Np
0.5000 0.0000 0.2500 Np
0.0000 0.0000 0.2574 P
0.0000 0.0000 0.7426 P
0.0000 0.5000 0.5048 P
0.0000 0.5000 0.9952 P
0.5000 0.0000 0.0048 P
0.5000 0.0000 0.4952 P
0.5000 0.5000 0.2426 P
0.5000 0.5000 0.7574 P
```

***

2.
Starting from a cell relaxed with PBE, the powder diffractogram of PuNp2P3 was simulated for Cu Kα, 1.54184 Å.
No peak broadening, texture or thermal motion is included.

Peak list (10 most intense, 2θ = 10–90°, low angle first)
2θ (°), I (rel.)
27.58, 100
31.95, 90
45.68, 11
45.84, 56
54.22, 17
54.36, 33
56.85, 12
57.03, 12
75.98, 21
84.91, 12

Atomic structure:
```
PuNp2P3
1.0
3.9543 0.0000 0.0000
0.0000 5.5971 0.0000
0.0000 0.0000 11.9166
Pu Np P
2 4 6
Direct
0.0000 0.0000 0.0000 Pu
0.5000 0.5000 0.5000 Pu
0.0000 0.0000 0.3341 Np
0.0000 0.0000 0.6659 Np
0.5000 0.5000 0.1659 Np
0.5000 0.5000 0.8341 Np
0.0000 0.5000 0.0000 P
0.0000 0.5000 0.3309 P
0.0000 0.5000 0.6691 P
0.5000 0.0000 0.1691 P
0.5000 0.0000 0.5000 P
0.5000 0.0000 0.8309 P
```

***

3.
Starting from a cell relaxed with PBE, the powder diffractogram of Pu2NpU3P6 was simulated for Cu Kα, 1.54184 Å.
No peak broadening, texture or thermal motion is included.

Peak list (10 most intense, 2θ = 10–90°, low angle first)
2θ (°), I (rel.)
27.56, 56
27.72, 28
27.83, 27
32.06, 100
45.90, 25
46.04, 25
54.32, 19
54.45, 14
54.63, 14
56.90, 13

Atomic structure:
```
Pu2NpU3P6
1.0
3.4061 -5.9570 0.0000
3.4061 5.9570 0.0000
-2.3139 0.0000 6.4363
Pu Np U P
2 1 3 6
Direct
0.1659 0.8341 0.0000 Pu
0.8341 0.1659 0.0000 Pu
0.5000 0.5000 0.0000 Np
0.0000 0.0000 0.5000 U
0.3333 0.6667 0.5000 U
0.6667 0.3333 0.5000 U
0.0821 0.4153 0.7455 P
0.2527 0.2527 0.2544 P
0.4153 0.0821 0.7455 P
0.5847 0.9179 0.2545 P
0.7473 0.7473 0.7456 P
0.9179 0.5847 0.2545 P
```